[1]
Th4Ga16Fe3: calculated powder XRD pattern (CuKα), based on a cell relaxed with PBE.
Peak positions follow from Bragg's law for the DFT cell and can differ from measured ones.

Unit cell a=6.1812 b=6.1812 c=11.3794 alpha=90.00 beta=90.00 gamma=90.00
Fractional positions:
Th1 0.0000 0.5000 0.1985
Th2 0.0000 0.5000 0.8015
Th3 0.5000 0.0000 0.1985
Th4 0.5000 0.0000 0.8015
Ga1 0.0000 0.0000 0.1952
Ga2 0.0000 0.0000 0.8048
Ga3 0.2167 0.2167 0.0000
Ga4 0.2167 0.7833 0.0000
Ga5 0.2515 0.2515 0.3896
Ga6 0.2515 0.2515 0.6104
Ga7 0.2515 0.7485 0.3896
Ga8 0.2515 0.7485 0.6104
Ga9 0.5000 0.5000 0.2218
Ga10 0.5000 0.5000 0.7782
Ga11 0.7485 0.2515 0.3896
Ga12 0.7485 0.2515 0.6104
Ga13 0.7485 0.7485 0.3896
Ga14 0.7485 0.7485 0.6104
Ga15 0.7833 0.2167 0.0000
Ga16 0.7833 0.7833 0.0000
Fe1 0.0000 0.5000 0.5000
Fe2 0.5000 0.0000 0.5000
Fe3 0.5000 0.5000 0.0000

Most intense lines, 2θ = 15–90°, by angle:
- 20.3 deg, 4.371 Å, I 39.4, hkl 1 1 0
- 31.2 deg, 2.865 Å, I 35.6, hkl 1 1 3
- 33.0 deg, 2.716 Å, I 79.2, hkl 2 0 2
- 37.5 deg, 2.396 Å, I 100.0, hkl 2 0 3
- 39.6 deg, 2.276 Å, I 33.8, hkl 0 0 5
- 41.3 deg, 2.185 Å, I 76.6, hkl 2 2 0
- 43.2 deg, 2.093 Å, I 19.6, hkl 2 0 4
- 58.6 deg, 1.576 Å, I 40.7, hkl 2 2 5
- 59.9 deg, 1.545 Å, I 24.2, hkl 4 0 0
- 72.8 deg, 1.299 Å, I 25.2, hkl 4 2 3

[2]
RuRhSe4: calculated powder XRD pattern (CuKα), based on a cell relaxed with PBE.
Peak positions follow from Bragg's law for the DFT cell and can differ from measured ones.

Unit cell a=6.0377 b=6.0511 c=6.0509 alpha=90.00 beta=90.02 gamma=90.00
Fractional positions:
Ru1 0.0000 0.0000 0.0000
Ru2 0.0000 0.5000 0.5000
Rh1 0.5000 0.0000 0.5000
Rh2 0.5000 0.5000 0.0000
Se1 0.1187 0.1246 0.3752
Se2 0.1187 0.3754 0.8752
Se3 0.3741 0.6211 0.3798
Se4 0.3741 0.8789 0.8798
Se5 0.6259 0.1211 0.1202
Se6 0.6259 0.3789 0.6202
Se7 0.8813 0.6246 0.1248
Se8 0.8813 0.8754 0.6248

Most intense lines, 2θ = 15–90°, by angle:
- 25.5 deg, 3.491 Å, I 17.7, hkl 1 1 1
- 29.5 deg, 3.023 Å, I 52.2, hkl 2 0 0
- 33.1 deg, 2.704 Å, I 78.7, hkl 1 0 -2
- 36.4 deg, 2.468 Å, I 62.6, hkl 2 1 1
- 42.3 deg, 2.138 Å, I 35.3, hkl 0 2 2
- 50.0 deg, 1.823 Å, I 100.0, hkl 1 1 3
- 52.4 deg, 1.745 Å, I 12.4, hkl 2 2 -2
- 54.7 deg, 1.677 Å, I 17.0, hkl 0 2 3
- 57.0 deg, 1.616 Å, I 33.3, hkl 3 2 -1
- 82.9 deg, 1.164 Å, I 23.3, hkl 1 5 -1

[3]
Ba2CrIn: calculated powder XRD pattern (CuKα), based on a cell relaxed with PBE.
Peak positions follow from Bragg's law for the DFT cell and can differ from measured ones.

Unit cell a=5.0016 b=5.2581 c=12.3493 alpha=90.00 beta=90.00 gamma=90.00
Fractional positions:
Ba1 0.0000 0.0000 0.0000
Ba2 0.0000 0.5000 0.5000
Ba3 0.5000 0.0000 0.2897
Ba4 0.5000 0.5000 0.7897
Cr1 0.0000 0.0000 0.6956
Cr2 0.0000 0.5000 0.1956
In1 0.5000 0.0000 0.5897
In2 0.5000 0.5000 0.0897

Most intense lines, 2θ = 15–90°, by angle:
- 22.9 deg, 3.887 Å, I 21.3, hkl 1 0 2
- 25.6 deg, 3.477 Å, I 100.0, hkl 1 1 1
- 27.5 deg, 3.241 Å, I 64.5, hkl 0 1 3
- 32.9 deg, 2.720 Å, I 45.2, hkl 1 1 3
- 34.1 deg, 2.628 Å, I 58.1, hkl 0 2 0
- 35.9 deg, 2.501 Å, I 26.4, hkl 2 0 0
- 45.8 deg, 1.980 Å, I 31.4, hkl 2 1 3
- 47.8 deg, 1.903 Å, I 14.7, hkl 1 0 6
- 49.0 deg, 1.858 Å, I 19.2, hkl 1 2 4
- 50.4 deg, 1.812 Å, I 19.6, hkl 2 2 0

Please write out number 3 again, unchanged.
Ba2CrIn: calculated powder XRD pattern (CuKα), based on a cell relaxed with PBE.
Peak positions follow from Bragg's law for the DFT cell and can differ from measured ones.

Unit cell a=5.0016 b=5.2581 c=12.3493 alpha=90.00 beta=90.00 gamma=90.00
Fractional positions:
Ba1 0.0000 0.0000 0.0000
Ba2 0.0000 0.5000 0.5000
Ba3 0.5000 0.0000 0.2897
Ba4 0.5000 0.5000 0.7897
Cr1 0.0000 0.0000 0.6956
Cr2 0.0000 0.5000 0.1956
In1 0.5000 0.0000 0.5897
In2 0.5000 0.5000 0.0897

Most intense lines, 2θ = 15–90°, by angle:
- 22.9 deg, 3.887 Å, I 21.3, hkl 1 0 2
- 25.6 deg, 3.477 Å, I 100.0, hkl 1 1 1
- 27.5 deg, 3.241 Å, I 64.5, hkl 0 1 3
- 32.9 deg, 2.720 Å, I 45.2, hkl 1 1 3
- 34.1 deg, 2.628 Å, I 58.1, hkl 0 2 0
- 35.9 deg, 2.501 Å, I 26.4, hkl 2 0 0
- 45.8 deg, 1.980 Å, I 31.4, hkl 2 1 3
- 47.8 deg, 1.903 Å, I 14.7, hkl 1 0 6
- 49.0 deg, 1.858 Å, I 19.2, hkl 1 2 4
- 50.4 deg, 1.812 Å, I 19.6, hkl 2 2 0

Repeat the third record exactly.
Ba2CrIn: calculated powder XRD pattern (CuKα), based on a cell relaxed with PBE.
Peak positions follow from Bragg's law for the DFT cell and can differ from measured ones.

Unit cell a=5.0016 b=5.2581 c=12.3493 alpha=90.00 beta=90.00 gamma=90.00
Fractional positions:
Ba1 0.0000 0.0000 0.0000
Ba2 0.0000 0.5000 0.5000
Ba3 0.5000 0.0000 0.2897
Ba4 0.5000 0.5000 0.7897
Cr1 0.0000 0.0000 0.6956
Cr2 0.0000 0.5000 0.1956
In1 0.5000 0.0000 0.5897
In2 0.5000 0.5000 0.0897

Most intense lines, 2θ = 15–90°, by angle:
- 22.9 deg, 3.887 Å, I 21.3, hkl 1 0 2
- 25.6 deg, 3.477 Å, I 100.0, hkl 1 1 1
- 27.5 deg, 3.241 Å, I 64.5, hkl 0 1 3
- 32.9 deg, 2.720 Å, I 45.2, hkl 1 1 3
- 34.1 deg, 2.628 Å, I 58.1, hkl 0 2 0
- 35.9 deg, 2.501 Å, I 26.4, hkl 2 0 0
- 45.8 deg, 1.980 Å, I 31.4, hkl 2 1 3
- 47.8 deg, 1.903 Å, I 14.7, hkl 1 0 6
- 49.0 deg, 1.858 Å, I 19.2, hkl 1 2 4
- 50.4 deg, 1.812 Å, I 19.6, hkl 2 2 0

What did the first record say?
Th4Ga16Fe3: calculated powder XRD pattern (CuKα), based on a cell relaxed with PBE.
Peak positions follow from Bragg's law for the DFT cell and can differ from measured ones.

Unit cell a=6.1812 b=6.1812 c=11.3794 alpha=90.00 beta=90.00 gamma=90.00
Fractional positions:
Th1 0.0000 0.5000 0.1985
Th2 0.0000 0.5000 0.8015
Th3 0.5000 0.0000 0.1985
Th4 0.5000 0.0000 0.8015
Ga1 0.0000 0.0000 0.1952
Ga2 0.0000 0.0000 0.8048
Ga3 0.2167 0.2167 0.0000
Ga4 0.2167 0.7833 0.0000
Ga5 0.2515 0.2515 0.3896
Ga6 0.2515 0.2515 0.6104
Ga7 0.2515 0.7485 0.3896
Ga8 0.2515 0.7485 0.6104
Ga9 0.5000 0.5000 0.2218
Ga10 0.5000 0.5000 0.7782
Ga11 0.7485 0.2515 0.3896
Ga12 0.7485 0.2515 0.6104
Ga13 0.7485 0.7485 0.3896
Ga14 0.7485 0.7485 0.6104
Ga15 0.7833 0.2167 0.0000
Ga16 0.7833 0.7833 0.0000
Fe1 0.0000 0.5000 0.5000
Fe2 0.5000 0.0000 0.5000
Fe3 0.5000 0.5000 0.0000

Most intense lines, 2θ = 15–90°, by angle:
- 20.3 deg, 4.371 Å, I 39.4, hkl 1 1 0
- 31.2 deg, 2.865 Å, I 35.6, hkl 1 1 3
- 33.0 deg, 2.716 Å, I 79.2, hkl 2 0 2
- 37.5 deg, 2.396 Å, I 100.0, hkl 2 0 3
- 39.6 deg, 2.276 Å, I 33.8, hkl 0 0 5
- 41.3 deg, 2.185 Å, I 76.6, hkl 2 2 0
- 43.2 deg, 2.093 Å, I 19.6, hkl 2 0 4
- 58.6 deg, 1.576 Å, I 40.7, hkl 2 2 5
- 59.9 deg, 1.545 Å, I 24.2, hkl 4 0 0
- 72.8 deg, 1.299 Å, I 25.2, hkl 4 2 3